Entry 1:
Starting from a structure optimized by DFT (GGA-PBE), the powder XRD pattern of TbGa8Tc2 was simulated for Cu Kα (weighted mean of Kα1 and Kα2).
No peak broadening, texture or thermal motion is included.

Top 10 peaks for 10 to 90 degrees two-theta, low angle first:
25.60°, 3.480 Å, rel. 42.2
31.39°, 2.850 Å, rel. 66.8
32.51°, 2.754 Å, rel. 78.6
33.95°, 2.640 Å, rel. 78.0
36.01°, 2.494 Å, rel. 41.6
38.14°, 2.360 Å, rel. 68.5
40.94°, 2.205 Å, rel. 100.0
41.23°, 2.189 Å, rel. 72.9
42.41°, 2.131 Å, rel. 38.5
50.07°, 1.822 Å, rel. 62.6

Structural model:
Cell lengths 6.764, 6.764, 4.853 Å; angles 98.68, 98.68, 99.22 degrees
Element x y z (fractional)
Tb  0.000  0.000  0.000
Ga  0.097  0.355  0.603
Ga  0.296  0.704  0.000
Ga  0.355  0.097  0.603
Ga  0.381  0.381  0.257
Ga  0.619  0.619  0.743
Ga  0.645  0.903  0.397
Ga  0.704  0.296  0.000
Ga  0.903  0.645  0.397
Tc  0.281  0.719  0.500
Tc  0.719  0.281  0.500

---

Entry 2:
Starting from a structure optimized by DFT (GGA-PBE), the powder XRD pattern of Na2In7Pb2 was simulated for Cu Kα (weighted mean of Kα1 and Kα2).
No peak broadening, texture or thermal motion is included.

Top 10 peaks for 10 to 90 degrees two-theta, low angle first:
24.21°, 3.676 Å, rel. 56.6
28.51°, 3.131 Å, rel. 40.2
29.55°, 3.023 Å, rel. 97.8
30.89°, 2.894 Å, rel. 89.1
33.13°, 2.704 Å, rel. 85.2
33.56°, 2.670 Å, rel. 65.2
34.34°, 2.611 Å, rel. 40.6
38.76°, 2.323 Å, rel. 100.0
39.13°, 2.302 Å, rel. 48.5
40.09°, 2.249 Å, rel. 44.5

Structural model:
Cell lengths 7.589, 7.589, 5.613 Å; angles 93.98, 93.98, 80.01 degrees
Element x y z (fractional)
Na  0.243  0.243  0.282
Na  0.757  0.757  0.718
In  0.049  0.049  0.766
In  0.102  0.440  0.779
In  0.440  0.102  0.779
In  0.500  0.500  0.000
In  0.560  0.898  0.221
In  0.898  0.560  0.221
In  0.951  0.951  0.234
Pb  0.291  0.709  0.500
Pb  0.709  0.291  0.500

---

Entry 3:
Starting from a structure optimized by DFT (GGA-PBE), the powder XRD pattern of CeGaHgBi was simulated for Cu Kα (weighted mean of Kα1 and Kα2).
No peak broadening, texture or thermal motion is included.

Top 10 peaks for 10 to 90 degrees two-theta, low angle first:
33.23°, 2.696 Å, rel. 100.0
37.57°, 2.394 Å, rel. 18.0
38.14°, 2.360 Å, rel. 17.3
39.94°, 2.257 Å, rel. 15.2
54.61°, 1.681 Å, rel. 12.4
55.99°, 1.642 Å, rel. 11.5
65.05°, 1.434 Å, rel. 15.6
65.82°, 1.419 Å, rel. 14.2
68.29°, 1.373 Å, rel. 12.7
69.76°, 1.348 Å, rel. 12.0

Structural model:
Cell lengths 4.514, 4.720, 4.789 Å; angles 90.00, 90.00, 90.00 degrees
Element x y z (fractional)
Ce  0.000  0.000  0.000
Ga  0.500  0.000  0.500
Hg  0.000  0.500  0.500
Bi  0.500  0.500  0.000

---

Entry 4:
Starting from a structure optimized by DFT (GGA-PBE), the powder XRD pattern of ThZn9Au3 was simulated for Cu Kα (weighted mean of Kα1 and Kα2).
No peak broadening, texture or thermal motion is included.

Top 10 peaks for 10 to 90 degrees two-theta, low angle first:
19.50°, 4.551 Å, rel. 44.5
27.43°, 3.252 Å, rel. 47.7
27.58°, 3.234 Å, rel. 32.5
33.93°, 2.642 Å, rel. 37.1
38.55°, 2.335 Å, rel. 89.9
38.74°, 2.324 Å, rel. 81.0
39.10°, 2.304 Å, rel. 36.4
39.51°, 2.281 Å, rel. 46.5
39.60°, 2.276 Å, rel. 100.0
43.73°, 2.070 Å, rel. 52.6

Structural model:
Cell lengths 6.956, 6.956, 6.995 Å; angles 98.54, 98.54, 134.10 degrees
Element x y z (fractional)
Th  0.000  0.000  0.000
Zn  0.012  0.368  0.361
Zn  0.292  0.505  0.782
Zn  0.368  0.012  0.361
Zn  0.495  0.708  0.218
Zn  0.500  0.500  0.500
Zn  0.505  0.292  0.782
Zn  0.632  0.988  0.639
Zn  0.708  0.495  0.218
Zn  0.988  0.632  0.639
Au  0.000  0.000  0.500
Au  0.000  0.500  0.000
Au  0.500  0.000  0.000

---

Entry 5:
Starting from a structure optimized by DFT (GGA-PBE), the powder XRD pattern of Tb4Pm3Nd2 was simulated for Cu Kα (weighted mean of Kα1 and Kα2).
No peak broadening, texture or thermal motion is included.

Top 10 peaks for 10 to 90 degrees two-theta, low angle first:
28.41°, 3.141 Å, rel. 44.8
29.96°, 2.982 Å, rel. 44.9
31.44°, 2.845 Å, rel. 59.0
33.04°, 2.711 Å, rel. 100.0
41.76°, 2.163 Å, rel. 28.0
50.31°, 1.814 Å, rel. 35.9
56.21°, 1.637 Å, rel. 31.0
59.67°, 1.550 Å, rel. 38.3
61.51°, 1.508 Å, rel. 16.8
83.36°, 1.159 Å, rel. 14.4

Structural model:
Cell lengths 3.627, 3.627, 26.842 Å; angles 90.00, 90.00, 120.00 degrees
Element x y z (fractional)
Tb  0.000  0.000  0.000
Tb  0.000  0.000  0.217
Tb  0.333  0.667  0.321
Tb  0.333  0.667  0.540
Pm  0.000  0.000  0.431
Pm  0.333  0.667  0.106
Pm  0.333  0.667  0.763
Nd  0.000  0.000  0.648
Nd  0.000  0.000  0.872

---

Entry 6:
Starting from a structure optimized by DFT (GGA-PBE), the powder XRD pattern of In5Hg4Pb3 was simulated for Cu Kα (weighted mean of Kα1 and Kα2).
No peak broadening, texture or thermal motion is included.

Top 10 peaks for 10 to 90 degrees two-theta, low angle first:
31.93°, 2.803 Å, rel. 100.0
32.45°, 2.759 Å, rel. 81.6
32.63°, 2.744 Å, rel. 92.9
33.05°, 2.710 Å, rel. 21.6
33.20°, 2.698 Å, rel. 61.3
33.26°, 2.694 Å, rel. 92.6
36.22°, 2.480 Å, rel. 48.6
43.22°, 2.093 Å, rel. 22.0
49.93°, 1.826 Å, rel. 20.8
50.05°, 1.822 Å, rel. 18.8

Structural model:
Cell lengths 5.390, 6.423, 9.846 Å; angles 99.64, 91.13, 91.29 degrees
Element x y z (fractional)
In  0.000  0.000  0.000
In  0.017  0.556  0.347
In  0.473  0.245  0.514
In  0.527  0.755  0.486
In  0.983  0.444  0.653
Hg  0.013  0.953  0.666
Hg  0.493  0.823  0.156
Hg  0.507  0.177  0.844
Hg  0.987  0.047  0.334
Pb  0.000  0.500  0.000
Pb  0.492  0.670  0.811
Pb  0.508  0.330  0.189

---

Entry 7:
Starting from a structure optimized by DFT (GGA-PBE), the powder XRD pattern of Tb2ZrZn6 was simulated for Cu Kα (weighted mean of Kα1 and Kα2).
No peak broadening, texture or thermal motion is included.

Top 10 peaks for 10 to 90 degrees two-theta, low angle first:
13.27°, 6.671 Å, rel. 3.5
23.09°, 3.851 Å, rel. 14.4
35.35°, 2.539 Å, rel. 100.0
40.57°, 2.224 Å, rel. 61.3
54.34°, 1.688 Å, rel. 8.6
54.89°, 1.673 Å, rel. 27.6
69.96°, 1.345 Å, rel. 23.2
70.44°, 1.337 Å, rel. 25.5
73.81°, 1.284 Å, rel. 9.8
87.80°, 1.112 Å, rel. 6.3

Structural model:
Cell lengths 7.703, 7.703, 3.377 Å; angles 90.00, 90.00, 120.00 degrees
Element x y z (fractional)
Tb  0.333  0.667  0.000
Tb  0.667  0.333  0.000
Zr  0.000  0.000  0.000
Zn  0.000  0.327  0.500
Zn  0.000  0.673  0.500
Zn  0.327  0.000  0.500
Zn  0.327  0.327  0.500
Zn  0.673  0.000  0.500
Zn  0.673  0.673  0.500

---

Entry 8:
Starting from a structure optimized by DFT (GGA-PBE), the powder XRD pattern of CdGaHg3 was simulated for Cu Kα (weighted mean of Kα1 and Kα2).
No peak broadening, texture or thermal motion is included.

Top 10 peaks for 10 to 90 degrees two-theta, low angle first:
32.38°, 2.765 Å, rel. 64.6
32.65°, 2.742 Å, rel. 14.1
32.79°, 2.731 Å, rel. 13.7
33.79°, 2.653 Å, rel. 51.5
34.35°, 2.611 Å, rel. 100.0
34.52°, 2.598 Å, rel. 33.3
38.49°, 2.339 Å, rel. 18.4
47.64°, 1.909 Å, rel. 16.3
58.65°, 1.574 Å, rel. 13.1
59.02°, 1.565 Å, rel. 14.2

Structural model:
Cell lengths 5.530, 6.048, 15.731 Å; angles 90.00, 110.27, 90.00 degrees
Element x y z (fractional)
Cd  0.119  0.209  0.367
Cd  0.119  0.291  0.867
Cd  0.881  0.709  0.133
Cd  0.881  0.791  0.633
Ga  0.271  0.533  0.520
Ga  0.271  0.967  0.020
Ga  0.729  0.033  0.980
Ga  0.729  0.467  0.480
Hg  0.087  0.717  0.337
Hg  0.087  0.783  0.837
Hg  0.313  0.037  0.565
Hg  0.313  0.463  0.065
Hg  0.466  0.571  0.718
Hg  0.466  0.929  0.218
Hg  0.534  0.071  0.782
Hg  0.534  0.429  0.282
Hg  0.687  0.537  0.935
Hg  0.687  0.963  0.435
Hg  0.913  0.217  0.163
Hg  0.913  0.283  0.663

---

Entry 9:
Starting from a structure optimized by DFT (GGA-PBE), the powder XRD pattern of MgAlSe2 was simulated for Cu Kα (weighted mean of Kα1 and Kα2).
No peak broadening, texture or thermal motion is included.

Top 10 peaks for 10 to 90 degrees two-theta, low angle first:
25.52°, 3.491 Å, rel. 25.3
25.86°, 3.445 Å, rel. 26.7
27.54°, 3.239 Å, rel. 32.8
32.24°, 2.777 Å, rel. 32.6
32.52°, 2.753 Å, rel. 25.9
37.99°, 2.369 Å, rel. 100.0
42.90°, 2.108 Å, rel. 16.9
43.12°, 2.098 Å, rel. 23.0
50.34°, 1.812 Å, rel. 13.3
55.80°, 1.648 Å, rel. 21.3

Structural model:
Cell lengths 3.574, 3.625, 12.957 Å; angles 90.00, 90.00, 90.00 degrees
Element x y z (fractional)
Mg  0.000  0.000  0.000
Mg  0.500  0.500  0.500
Al  0.000  0.500  0.250
Al  0.500  0.000  0.750
Se  0.000  0.000  0.585
Se  0.000  0.500  0.828
Se  0.500  0.000  0.328
Se  0.500  0.500  0.085

---

Entry 10:
Starting from a structure optimized by DFT (GGA-PBE), the powder XRD pattern of Rb2OsSeO6 was simulated for Cu Kα (weighted mean of Kα1 and Kα2).
No peak broadening, texture or thermal motion is included.

Top 10 peaks for 10 to 90 degrees two-theta, low angle first:
18.06°, 4.911 Å, rel. 25.2
28.24°, 3.160 Å, rel. 100.0
32.45°, 2.759 Å, rel. 32.4
33.25°, 2.694 Å, rel. 22.6
46.55°, 1.951 Å, rel. 20.1
47.15°, 1.928 Å, rel. 18.7
55.34°, 1.660 Å, rel. 30.7
56.39°, 1.632 Å, rel. 17.6
58.40°, 1.580 Å, rel. 16.9
76.04°, 1.252 Å, rel. 14.4

Structural model:
Cell lengths 6.653, 6.653, 6.653 Å; angles 131.00, 131.00, 71.81 degrees
Element x y z (fractional)
Rb  0.250  0.750  0.500
Rb  0.750  0.250  0.500
Os  0.000  0.000  0.000
Se  0.500  0.500  0.000
O  0.172  0.172  0.000
O  0.246  0.246  0.491
O  0.246  0.754  0.000
O  0.754  0.246  0.000
O  0.754  0.754  0.509
O  0.828  0.828  0.000

---

Entry 11:
Starting from a structure optimized by DFT (GGA-PBE), the powder XRD pattern of Sm3DySc7 was simulated for Cu Kα (weighted mean of Kα1 and Kα2).
No peak broadening, texture or thermal motion is included.

Top 10 peaks for 10 to 90 degrees two-theta, low angle first:
16.45°, 5.388 Å, rel. 45.3
24.88°, 3.578 Å, rel. 100.0
32.63°, 2.744 Å, rel. 45.8
33.26°, 2.694 Å, rel. 34.5
34.17°, 2.624 Å, rel. 19.8
34.38°, 2.608 Å, rel. 84.5
34.66°, 2.588 Å, rel. 36.1
47.28°, 1.922 Å, rel. 25.3
59.36°, 1.557 Å, rel. 17.2
59.59°, 1.551 Å, rel. 20.2

Structural model:
Cell lengths 8.007, 8.007, 8.007 Å; angles 139.91, 98.09, 95.41 degrees
Element x y z (fractional)
Sm  0.000  0.000  0.000
Sm  0.215  0.500  0.715
Sm  0.785  0.500  0.285
Dy  0.500  0.000  0.500
Sc  0.028  0.218  0.810
Sc  0.207  0.707  0.500
Sc  0.409  0.218  0.190
Sc  0.500  0.500  0.000
Sc  0.591  0.782  0.810
Sc  0.793  0.293  0.500
Sc  0.972  0.782  0.190

---

Entry 12:
Starting from a structure optimized by DFT (GGA-PBE), the powder XRD pattern of La11Pr4Tm9 was simulated for Cu Kα (weighted mean of Kα1 and Kα2).
No peak broadening, texture or thermal motion is included.

Top 10 peaks for 10 to 90 degrees two-theta, low angle first:
28.10°, 3.176 Å, rel. 9.7
29.43°, 3.035 Å, rel. 100.0
29.86°, 2.992 Å, rel. 11.1
30.35°, 2.945 Å, rel. 19.7
31.58°, 2.833 Å, rel. 80.1
31.75°, 2.818 Å, rel. 62.8
32.20°, 2.780 Å, rel. 12.2
48.53°, 1.876 Å, rel. 16.8
57.78°, 1.596 Å, rel. 23.3
61.33°, 1.512 Å, rel. 12.6

Structural model:
Cell lengths 15.514, 15.514, 3.752 Å; angles 90.00, 90.00, 113.22 degrees
Element x y z (fractional)
La  0.000  0.000  0.000
La  0.044  0.407  0.000
La  0.159  0.841  0.000
La  0.289  0.289  0.000
La  0.367  0.633  0.000
La  0.407  0.044  0.000
La  0.593  0.956  0.000
La  0.633  0.367  0.000
La  0.711  0.711  0.000
La  0.841  0.159  0.000
La  0.956  0.593  0.000
Pr  0.244  0.444  0.500
Pr  0.444  0.244  0.500
Pr  0.556  0.756  0.500
Pr  0.756  0.556  0.500
Tm  0.064  0.211  0.500
Tm  0.165  0.634  0.500
Tm  0.211  0.064  0.500
Tm  0.366  0.835  0.500
Tm  0.500  0.500  0.500
Tm  0.634  0.165  0.500
Tm  0.789  0.936  0.500
Tm  0.835  0.366  0.500
Tm  0.936  0.789  0.500

---

Entry 13:
Starting from a structure optimized by DFT (GGA-PBE), the powder XRD pattern of Tm3Ag was simulated for Cu Kα (weighted mean of Kα1 and Kα2).
No peak broadening, texture or thermal motion is included.

Top 10 peaks for 10 to 90 degrees two-theta, low angle first:
29.52°, 3.026 Å, rel. 10.5
32.32°, 2.770 Å, rel. 16.4
33.91°, 2.644 Å, rel. 100.0
47.60°, 1.910 Å, rel. 11.1
49.74°, 1.833 Å, rel. 7.3
58.65°, 1.574 Å, rel. 6.7
60.76°, 1.524 Å, rel. 14.5
61.62°, 1.505 Å, rel. 7.7
71.31°, 1.323 Å, rel. 6.6
82.96°, 1.164 Å, rel. 6.1

Structural model:
Cell lengths 3.666, 5.276, 11.080 Å; angles 90.00, 90.00, 90.00 degrees
Element x y z (fractional)
Tm  0.000  0.000  0.000
Tm  0.000  0.500  0.216
Tm  0.000  0.500  0.784
Tm  0.500  0.000  0.284
Tm  0.500  0.000  0.716
Tm  0.500  0.500  0.500
Ag  0.000  0.000  0.500
Ag  0.500  0.500  0.000

---

Entry 14:
Starting from a structure optimized by DFT (GGA-PBE), the powder XRD pattern of ReIrW3 was simulated for Cu Kα (weighted mean of Kα1 and Kα2).
No peak broadening, texture or thermal motion is included.

Top 10 peaks for 10 to 90 degrees two-theta, low angle first:
18.98°, 4.676 Å, rel. 21.8
26.96°, 3.307 Å, rel. 22.2
33.18°, 2.700 Å, rel. 71.3
38.50°, 2.338 Å, rel. 100.0
43.26°, 2.091 Å, rel. 10.7
47.63°, 1.909 Å, rel. 9.6
55.59°, 1.653 Å, rel. 69.9
66.29°, 1.410 Å, rel. 29.6
69.65°, 1.350 Å, rel. 23.8
82.51°, 1.169 Å, rel. 11.5

Structural model:
Cell lengths 4.676, 4.676, 4.676 Å; angles 90.00, 90.00, 90.00 degrees
Element x y z (fractional)
Re  0.000  0.000  0.000
Ir  0.500  0.500  0.500
W  0.000  0.000  0.500
W  0.000  0.500  0.000
W  0.500  0.000  0.000